Entry 1:
# Ba2PrNbO6
Computed X-ray diffraction stick pattern, Cu Kα. Input: the GGA-PBE geometry in the Materials Project.

Peak list (8 most intense, 2θ = 5–70°, low angle first)
2θ 28.84, rel. 100, (2 2 0)
2θ 33.96, rel. 1, (3 1 1)
2θ 35.51, rel. 3, (2 2 2)
2θ 41.24, rel. 30, (4 0 0)
2θ 45.13, rel. 1, (3 3 1)
2θ 51.10, rel. 41, (4 2 2)
2θ 59.74, rel. 19, (4 4 0)
2θ 67.67, rel. 18, (6 2 0)

Crystal structure
a = 8.7562 Å, b = 8.7562 Å, c = 8.7562 Å
α = 90.00°, β = 90.00°, γ = 90.00°
Space group Fm-3m (No. 225)
Symmetry-distinct sites (fractional):
Ba 0.2500 0.2500 0.2500 [8 per cell]
Pr 0.0000 0.0000 0.0000 [4 per cell]
Nb 0.0000 0.0000 0.5000 [4 per cell]
O 0.0000 0.0000 0.2687 [24 per cell]



Entry 2:
# Ba10Pr5Nb2Sn3O30
Computed X-ray diffraction stick pattern, Cu Kα. Input: the GGA-PBE geometry in the Materials Project.

Peak list (8 most intense, 2θ = 5–70°, low angle first)
2θ 28.64, rel. 33, (2 0 -1)
2θ 28.66, rel. 66, (2 -1 2)
2θ 28.85, rel. 100, (2 3 0)
2θ 41.11, rel. 58, (4 2 2)
2θ 50.82, rel. 22, (2 -2 5)
2θ 50.89, rel. 28, (2 1 6)
2θ 51.24, rel. 20, (2 6 1)
2θ 67.59, rel. 19, (0 5 5)

Crystal structure
a = 8.7837 Å, b = 10.7008 Å, c = 10.7618 Å
α = 80.85°, β = 66.15°, γ = 66.26°
Space group P-1 (No. 2)
Symmetry-distinct sites (fractional):
Ba 0.0491 0.2967 0.1002 [2 per cell]
Ba 0.1479 0.9037 0.3009 [2 per cell]
Ba 0.2473 0.4980 0.4986 [2 per cell]
Ba 0.3497 0.0996 0.7002 [2 per cell]
Ba 0.4494 0.6999 0.8989 [2 per cell]
Pr 0.1007 0.6001 0.1985 [2 per cell]
Pr 0.3019 0.7983 0.5986 [2 per cell]
Pr 0.5000 0.0000 0.0000 [1 per cell]
Nb 0.3999 0.3995 0.8004 [2 per cell]
Sn 0.0000 0.0000 0.0000 [1 per cell]
Sn 0.1998 0.2004 0.4000 [2 per cell]
O 0.0446 0.8103 0.5725 [2 per cell]
O 0.0854 0.8009 0.0734 [2 per cell]
O 0.0864 0.2771 0.5981 [2 per cell]
O 0.1136 0.9231 0.8022 [2 per cell]
O 0.1146 0.3998 0.3266 [2 per cell]
O 0.1605 0.3906 0.8296 [2 per cell]
O 0.2444 0.0114 0.9716 [2 per cell]
O 0.2842 0.0014 0.4746 [2 per cell]
O 0.2933 0.4731 0.9929 [2 per cell]
O 0.3121 0.1256 0.2014 [2 per cell]
O 0.3165 0.5939 0.7295 [2 per cell]
O 0.3633 0.5877 0.2268 [2 per cell]
O 0.4440 0.2119 0.3716 [2 per cell]
O 0.4841 0.2061 0.8706 [2 per cell]
O 0.4940 0.6718 0.3923 [2 per cell]



Entry 3:
# BaSrNbSbO6
Computed X-ray diffraction stick pattern, Cu Kα. Input: the GGA-PBE geometry in the Materials Project.

Peak list (8 most intense, 2θ = 5–70°, low angle first)
2θ 29.74, rel. 100, (-1 1 2)
2θ 29.83, rel. 25, (2 0 0)
2θ 29.93, rel. 24, (1 1 2)
2θ 42.51, rel. 14, (2 -2 0)
2θ 42.62, rel. 15, (0 0 4)
2θ 52.73, rel. 27, (0 2 -4)
2θ 52.97, rel. 15, (1 3 2)
2θ 61.75, rel. 16, (-2 2 4)

Crystal structure
a = 5.9905 Å, b = 6.0077 Å, c = 8.4856 Å
α = 90.25°, β = 90.31°, γ = 90.30°
Space group P-1 (No. 2)
Symmetry-distinct sites (fractional):
Ba 0.0198 0.0037 0.2504 [2 per cell]
Sr 0.4741 0.5028 0.7486 [2 per cell]
Nb 0.0000 0.5000 0.5000 [1 per cell]
Nb 0.5000 0.0000 0.0000 [1 per cell]
Sb 0.0000 0.5000 0.0000 [1 per cell]
Sb 0.5000 0.0000 0.5000 [1 per cell]
O 0.0236 0.4417 0.7341 [2 per cell]
O 0.2073 0.7622 0.5312 [2 per cell]
O 0.2354 0.7961 0.9651 [2 per cell]
O 0.2725 0.3047 0.4630 [2 per cell]
O 0.3004 0.2671 0.0404 [2 per cell]
O 0.4952 0.9216 0.2332 [2 per cell]



Entry 4:
# BaSrNbSbO6
Computed X-ray diffraction stick pattern, Cu Kα. Input: the GGA-PBE geometry in the Materials Project.

Peak list (8 most intense, 2θ = 5–70°, low angle first)
2θ 29.14, rel. 100, (0 2 2)
2θ 29.47, rel. 46, (2 2 0)
2θ 41.20, rel. 14, (0 0 4)
2θ 42.10, rel. 13, (0 4 0)
2θ 42.23, rel. 13, (4 0 0)
2θ 51.46, rel. 21, (2 2 4)
2θ 52.08, rel. 40, (4 2 2)
2θ 67.77, rel. 9, (0 2 6)

Crystal structure
a = 8.5595 Å, b = 8.5853 Å, c = 8.7652 Å
α = 90.00°, β = 90.00°, γ = 90.00°
Space group P222 (No. 16)
Symmetry-distinct sites (fractional):
Ba 0.0000 0.0000 0.0000 [1 per cell]
Ba 0.0000 0.0000 0.5000 [1 per cell]
Ba 0.5000 0.0000 0.0000 [1 per cell]
Ba 0.5000 0.5000 0.5000 [1 per cell]
Sr 0.0000 0.5000 0.0000 [1 per cell]
Sr 0.0000 0.5000 0.5000 [1 per cell]
Sr 0.5000 0.0000 0.5000 [1 per cell]
Sr 0.5000 0.5000 0.0000 [1 per cell]
Nb 0.2547 0.2513 0.2466 [4 per cell]
Sb 0.2317 0.2700 0.7650 [4 per cell]
O 0.0051 0.2429 0.2784 [4 per cell]
O 0.2078 0.2992 0.9914 [4 per cell]
O 0.2113 0.4967 0.2828 [4 per cell]
O 0.2520 0.0380 0.1862 [4 per cell]
O 0.2949 0.2085 0.4570 [4 per cell]
O 0.4674 0.3004 0.1998 [4 per cell]



Entry 5:
# BaSrNbSbO6
Computed X-ray diffraction stick pattern, Cu Kα. Input: the GGA-PBE geometry in the Materials Project.

Peak list (8 most intense, 2θ = 5–70°, low angle first)
2θ 17.96, rel. 3, (1 1 1)
2θ 29.53, rel. 100, (2 2 0)
2θ 34.78, rel. 2, (3 1 1)
2θ 36.38, rel. 2, (2 2 2)
2θ 42.26, rel. 32, (4 0 0)
2θ 52.40, rel. 40, (4 2 2)
2θ 61.30, rel. 20, (4 4 0)
2θ 69.49, rel. 18, (6 2 0)

Crystal structure
a = 8.5546 Å, b = 8.5546 Å, c = 8.5546 Å
α = 90.00°, β = 90.00°, γ = 90.00°
Space group F-43m (No. 216)
Symmetry-distinct sites (fractional):
Ba 0.0000 0.0000 0.0000 [4 per cell]
Sr 0.0000 0.0000 0.5000 [4 per cell]
Nb 0.2500 0.2500 0.7500 [4 per cell]
Sb 0.2500 0.2500 0.2500 [4 per cell]
O 0.0143 0.2500 0.7500 [24 per cell]